# 1
For V4O3F9, a crystal structure in the Materials Project, relaxed with GGA+U gives the computed powder diffraction line list in this record (Cu Kα X-rays).
Lines closer than 0.1° are merged.

Top 6 peaks for 2θ from 5° to 70°, in order of falling intensity:
2θ 23.86, d = 3.729 Å, rel. 1000; 2θ 23.41, d = 3.799 Å, rel. 990; 2θ 23.62, d = 3.767 Å, rel. 988; 2θ 53.37, d = 1.717 Å, rel. 237; 2θ 47.88, d = 1.900 Å, rel. 227; 2θ 48.32, d = 1.883 Å, rel. 203

Atomic structure:
a b c (Å): 5.237 5.389 17.426
angles (deg): 89.37 82.19 61.55
Fractional positions:
1 V 0.000 0.000 0.000
2 V 0.001 0.529 0.499
3 V 0.235 0.336 0.126
4 V 0.239 0.881 0.623
5 V 0.477 0.235 0.746
6 V 0.486 0.750 0.247
7 V 0.732 0.605 0.865
8 V 0.737 0.161 0.368
9 O 0.142 0.184 0.039
10 O 0.143 0.709 0.539
11 O 0.277 0.072 0.183
12 O 0.337 0.050 0.707
13 O 0.658 0.460 0.792
14 O 0.695 0.428 0.312
15 F 0.162 0.918 0.335
16 F 0.163 0.406 0.837
17 F 0.200 0.664 0.059
18 F 0.209 0.191 0.557
19 F 0.264 0.571 0.688
20 F 0.306 0.546 0.207
21 F 0.313 0.335 0.411
22 F 0.315 0.840 0.910
23 F 0.656 0.154 0.083
24 F 0.661 0.658 0.582
25 F 0.668 0.952 0.288
26 F 0.719 0.933 0.811
27 F 0.759 0.313 0.937
28 F 0.772 0.823 0.432
29 F 0.810 0.583 0.161
30 F 0.816 0.101 0.663
31 F 0.820 0.299 0.460
32 F 0.822 0.786 0.955

=====

# 2
For Ba6Gd2Fe4O15, a crystal structure in the Materials Project, relaxed with GGA+U gives the computed powder diffraction line list in this record (Cu Kα X-rays).
Lines closer than 0.1° are merged.

Top 6 peaks for 2θ from 5° to 70°, in order of falling intensity:
2θ 30.22, d = 2.958 Å, rel. 1000; 2θ 29.76, d = 3.002 Å, rel. 916; 2θ 29.36, d = 3.042 Å, rel. 518; 2θ 29.20, d = 3.059 Å, rel. 500; 2θ 41.89, d = 2.157 Å, rel. 461; 2θ 52.65, d = 1.738 Å, rel. 318

Atomic structure:
a b c (Å): 8.243 6.083 18.356
angles (deg): 90.00 91.20 90.00
Fractional positions:
1 Ba 0.000 0.161 0.250
2 Ba 0.000 0.839 0.750
3 Ba 0.003 0.255 0.575
4 Ba 0.003 0.745 0.075
5 Ba 0.473 0.245 0.914
6 Ba 0.473 0.755 0.414
7 Ba 0.500 0.224 0.250
8 Ba 0.500 0.776 0.750
9 Ba 0.527 0.245 0.586
10 Ba 0.527 0.755 0.086
11 Ba 0.997 0.255 0.925
12 Ba 0.997 0.745 0.425
13 Gd 0.252 0.246 0.088
14 Gd 0.252 0.754 0.588
15 Gd 0.748 0.246 0.412
16 Gd 0.748 0.754 0.912
17 Fe 0.253 0.250 0.436
18 Fe 0.253 0.750 0.936
19 Fe 0.270 0.277 0.735
20 Fe 0.270 0.723 0.235
21 Fe 0.730 0.277 0.765
22 Fe 0.730 0.723 0.265
23 Fe 0.747 0.250 0.064
24 Fe 0.747 0.750 0.564
25 O 0.027 0.258 0.419
26 O 0.027 0.742 0.919
27 O 0.193 0.163 0.822
28 O 0.193 0.837 0.322
29 O 0.223 0.441 0.195
30 O 0.223 0.559 0.695
31 O 0.244 0.056 0.662
32 O 0.244 0.944 0.162
33 O 0.264 0.006 0.993
34 O 0.264 0.994 0.493
35 O 0.266 0.494 0.499
36 O 0.266 0.506 0.999
37 O 0.462 0.261 0.397
38 O 0.462 0.739 0.897
39 O 0.500 0.297 0.750
40 O 0.500 0.703 0.250
41 O 0.538 0.261 0.103
42 O 0.538 0.739 0.603
43 O 0.734 0.494 0.001
44 O 0.734 0.506 0.501
45 O 0.736 0.006 0.507
46 O 0.736 0.994 0.007
47 O 0.756 0.056 0.838
48 O 0.756 0.944 0.338
49 O 0.777 0.441 0.305
50 O 0.777 0.559 0.805
51 O 0.807 0.163 0.678
52 O 0.807 0.837 0.178
53 O 0.973 0.258 0.081
54 O 0.973 0.742 0.581

=====

# 3
For BeVO3, a crystal structure in the Materials Project, relaxed with GGA+U gives the computed powder diffraction line list in this record (Cu Kα X-rays).
Lines closer than 0.1° are merged.

Top 6 peaks for 2θ from 5° to 70°, in order of falling intensity:
2θ 45.84, d = 1.980 Å, rel. 1000; 2θ 53.44, d = 1.714 Å, rel. 555; 2θ 37.08, d = 2.425 Å, rel. 550; 2θ 25.99, d = 3.429 Å, rel. 319; 2θ 66.83, d = 1.400 Å, rel. 192; 2θ 60.36, d = 1.533 Å, rel. 130

Atomic structure:
a b c (Å): 3.429 3.429 3.429
angles (deg): 90.00 90.00 90.00
Fractional positions:
1 Be 0.000 0.000 0.000
2 V 0.500 0.500 0.500
3 O 0.000 0.000 0.500
4 O 0.000 0.500 0.000
5 O 0.500 0.000 0.000